This entry pairs a crystal structure of ZrRe4Se8 with its theoretical X-ray powder pattern. Radiation: Cu Kα (weighted mean of Kα1 and Kα2). Structure: the PBE geometry in Alexandria.

Structural model:
Cell: 7.4642 7.4642 17.4617 Å, 90.00 90.00 120.00°
Space group R-3m (No. 166, hexagonal axes)
Asymmetric unit:
Zr 0.0000 0.0000 0.0000 [3 per cell]
Re 0.0000 0.0000 0.5000 [3 per cell]
Re 0.0000 0.5000 0.5000 [9 per cell]
Se 0.0000 0.0000 0.2465 [6 per cell]
Se 0.0082 0.5041 0.2465 [18 per cell]

Top 10 peaks for 2θ = 10–80°, low angle first:
15.2 deg, rel. 52, hkl 0 0 3
28.1 deg, rel. 31, hkl 0 2 1
34.5 deg, rel. 100, hkl 0 2 4
37.9 deg, rel. 12, hkl 2 0 5
46.0 deg, rel. 12, hkl 0 2 7
48.8 deg, rel. 38, hkl 2 2 0
50.5 deg, rel. 34, hkl 2 0 8
51.4 deg, rel. 14, hkl 2 2 3
61.2 deg, rel. 19, hkl 4 0 4
72.8 deg, rel. 11, hkl 0 4 8